1.
For SrMnTeO6, DFT lattice parameters and positions (PBE+U) gives the calculated X-ray diffraction stick pattern in this record (CuKα).
Intensities are scaled so that the largest is 100.

Most intense lines, 2θ from 10° to 90°, by intensity:
- 3.485 Å, 25.56°, intensity 100
- 1.892 Å, 48.10°, intensity 43
- 2.584 Å, 34.71°, intensity 33
- 1.618 Å, 56.89°, intensity 21
- 2.076 Å, 43.60°, intensity 19
- 5.553 Å, 15.96°, intensity 18
- 4.476 Å, 19.83°, intensity 11
- 1.710 Å, 53.58°, intensity 11
- 1.314 Å, 71.82°, intensity 9
- 1.426 Å, 65.43°, intensity 9

a b c (Å): 5.1689 5.1689 5.5528
angles (deg): 90.00 90.00 120.00
Sites, in units of the cell vectors:
Sr  0.0000  0.0000  0.0000
Mn  0.6667  0.3333  0.5000
Te  0.3333  0.6667  0.5000
O  0.4292  0.4286  0.2803
O  0.4292  0.4286  0.7197
O  0.5714  0.0006  0.2803
O  0.5714  0.0006  0.7197
O  0.9994  0.5708  0.2803
O  0.9994  0.5708  0.7197

=====

2.
For Sr2UMnO6, DFT lattice parameters and positions (PBE+U) gives the calculated X-ray diffraction stick pattern in this record (CuKα).
Intensities are scaled so that the largest is 100.

Most intense lines, 2θ from 10° to 90°, by intensity:
- 2.959 Å, 30.20°, intensity 100
- 4.860 Å, 18.26°, intensity 28
- 4.811 Å, 18.44°, intensity 27
- 2.097 Å, 43.15°, intensity 26
- 2.987 Å, 29.91°, intensity 25
- 2.943 Å, 30.37°, intensity 24
- 1.719 Å, 53.28°, intensity 18
- 4.188 Å, 21.21°, intensity 18
- 1.701 Å, 53.90°, intensity 18
- 1.704 Å, 53.79°, intensity 18

a b c (Å): 5.8860 5.9748 10.2075
angles (deg): 90.00 125.07 90.00
Sites, in units of the cell vectors:
Sr  0.2408  0.0404  0.2488
Sr  0.2408  0.4596  0.7488
Sr  0.7592  0.5404  0.2512
Sr  0.7592  0.9596  0.7512
U  0.5000  0.0000  0.0000
U  0.5000  0.5000  0.5000
Mn  0.0000  0.0000  0.5000
Mn  0.0000  0.5000  0.0000
O  0.1716  0.1993  0.9585
O  0.1716  0.3007  0.4585
O  0.2558  0.7145  0.9541
O  0.2558  0.7855  0.4541
O  0.3404  0.0272  0.7565
O  0.3404  0.4728  0.2565
O  0.6596  0.5272  0.7435
O  0.6596  0.9728  0.2435
O  0.7442  0.2145  0.5459
O  0.7442  0.2855  0.0459
O  0.8284  0.6993  0.5415
O  0.8284  0.8007  0.0415

=====

3.
For SrMn2V2O8, DFT lattice parameters and positions (PBE+U) gives the calculated X-ray diffraction stick pattern in this record (CuKα).
Intensities are scaled so that the largest is 100.

Most intense lines, 2θ from 10° to 90°, by intensity:
- 2.963 Å, 30.16°, intensity 100
- 2.897 Å, 30.87°, intensity 76
- 2.828 Å, 31.64°, intensity 61
- 3.619 Å, 24.60°, intensity 54
- 1.524 Å, 60.78°, intensity 41
- 2.610 Å, 34.36°, intensity 39
- 1.946 Å, 46.67°, intensity 33
- 2.269 Å, 39.72°, intensity 31
- 2.108 Å, 42.91°, intensity 29
- 1.490 Å, 62.30°, intensity 25

a b c (Å): 9.9712 9.9712 9.9712
angles (deg): 101.29 101.29 127.47
Sites, in units of the cell vectors:
Sr  0.0000  0.0000  0.0000
Sr  0.2500  0.7500  0.5000
Sr  0.5000  0.5000  0.0000
Sr  0.7500  0.2500  0.5000
Mn  0.0396  0.0365  0.6646
Mn  0.1251  0.2896  0.5031
Mn  0.2865  0.7896  0.1646
Mn  0.3720  0.3751  0.3354
Mn  0.5396  0.8751  0.0031
Mn  0.6251  0.1220  0.8354
Mn  0.7865  0.6220  0.4969
Mn  0.8720  0.5365  0.9969
V  0.0600  0.9031  0.3148
V  0.0883  0.4031  0.8431
V  0.1531  0.8100  0.8148
V  0.4952  0.3100  0.6569
V  0.5600  0.2452  0.1569
V  0.5883  0.7452  0.6852
V  0.6531  0.8383  0.3431
V  0.9952  0.3383  0.1852
O  0.0084  0.8490  0.4661
O  0.0527  0.5417  0.1752
O  0.0919  0.4156  0.6736
O  0.0987  0.2364  0.8565
O  0.0990  0.7584  0.9661
O  0.1275  0.1165  0.3248
O  0.1656  0.9920  0.8237
O  0.1683  0.3419  0.1763
O  0.2420  0.9156  0.3237
O  0.2923  0.2584  0.6595
O  0.2917  0.6165  0.9890
O  0.3665  0.8775  0.8248
O  0.3799  0.2422  0.1435
O  0.3828  0.5423  0.5339
O  0.4864  0.8487  0.3565
O  0.4922  0.1299  0.6435
O  0.5084  0.0423  0.1595
O  0.5527  0.3775  0.5110
O  0.5919  0.9183  0.6763
O  0.5990  0.6328  0.3405
O  0.5987  0.7422  0.8623
O  0.6275  0.3027  0.0110
O  0.6656  0.8419  0.1736
O  0.6683  0.4920  0.8264
O  0.7420  0.4183  0.3264
O  0.7923  0.1328  0.0339
O  0.7917  0.8027  0.6752
O  0.8665  0.0417  0.4890
O  0.8799  0.7364  0.1377
O  0.8828  0.3490  0.8405
O  0.9864  0.6299  0.6377
O  0.9922  0.3487  0.3623

=====

4.
For Sr2YMn2O7, DFT lattice parameters and positions (PBE+U) gives the calculated X-ray diffraction stick pattern in this record (CuKα).
Intensities are scaled so that the largest is 100.

Most intense lines, 2θ from 10° to 90°, by intensity:
- 2.810 Å, 31.84°, intensity 100
- 1.870 Å, 48.70°, intensity 29
- 2.656 Å, 33.75°, intensity 22
- 3.227 Å, 27.64°, intensity 22
- 2.633 Å, 34.06°, intensity 18
- 1.561 Å, 59.18°, intensity 16
- 3.739 Å, 23.80°, intensity 12
- 1.552 Å, 59.57°, intensity 12
- 3.195 Å, 27.92°, intensity 12
- 2.254 Å, 40.01°, intensity 12

a b c (Å): 13.3172 13.3172 13.3172
angles (deg): 156.99 32.62 157.20
Sites, in units of the cell vectors:
Sr  0.2222  0.0434  0.1787
Sr  0.3647  0.0434  0.3213
Sr  0.6353  0.9566  0.6787
Sr  0.7778  0.9566  0.8213
Y  0.0000  0.0000  0.0000
Y  0.5000  0.0000  0.5000
Mn  0.0739  0.4952  0.5787
Mn  0.4164  0.4952  0.9213
Mn  0.5836  0.5048  0.0787
Mn  0.9261  0.5048  0.4213
O  0.1378  0.4851  0.6526
O  0.1962  0.0000  0.6962
O  0.1962  0.5000  0.1962
O  0.3076  0.0000  0.8076
O  0.3076  0.5000  0.3076
O  0.3325  0.4851  0.8474
O  0.5000  0.0000  0.0000
O  0.5000  0.5000  0.5000
O  0.6675  0.5149  0.1526
O  0.6924  0.0000  0.1924
O  0.6924  0.5000  0.6924
O  0.8038  0.0000  0.3038
O  0.8038  0.5000  0.8038
O  0.8622  0.5149  0.3474

=====

5.
For Sr2YMn2O7, DFT lattice parameters and positions (PBE+U) gives the calculated X-ray diffraction stick pattern in this record (CuKα).
Intensities are scaled so that the largest is 100.

Most intense lines, 2θ from 10° to 90°, by intensity:
- 2.761 Å, 32.43°, intensity 100
- 2.784 Å, 32.15°, intensity 64
- 1.979 Å, 45.85°, intensity 54
- 2.834 Å, 31.57°, intensity 42
- 1.616 Å, 56.99°, intensity 16
- 1.940 Å, 46.84°, intensity 15
- 1.632 Å, 56.39°, intensity 15
- 2.101 Å, 43.05°, intensity 14
- 1.600 Å, 57.61°, intensity 12
- 1.589 Å, 58.06°, intensity 12

a b c (Å): 5.6681 5.5305 10.0667
angles (deg): 90.00 105.56 90.00
Sites, in units of the cell vectors:
Sr  0.0785  0.2500  0.1306
Sr  0.2531  0.2500  0.5005
Sr  0.7469  0.7500  0.4995
Sr  0.9215  0.7500  0.8694
Y  0.4576  0.2500  0.8587
Y  0.5424  0.7500  0.1413
Mn  0.1490  0.7500  0.3034
Mn  0.3479  0.7500  0.7011
Mn  0.6521  0.2500  0.2989
Mn  0.8510  0.2500  0.6966
O  0.1232  0.7500  0.1093
O  0.1318  0.0083  0.7272
O  0.1318  0.4917  0.7272
O  0.1991  0.7500  0.5021
O  0.4183  0.5007  0.3142
O  0.4183  0.9993  0.3142
O  0.4917  0.7500  0.9106
O  0.5083  0.2500  0.0894
O  0.5817  0.0007  0.6858
O  0.5817  0.4993  0.6858
O  0.8009  0.2500  0.4979
O  0.8682  0.5083  0.2728
O  0.8682  0.9917  0.2728
O  0.8768  0.2500  0.8907

=====

6.
For Sr2Y2Mn2O7, DFT lattice parameters and positions (PBE+U) gives the calculated X-ray diffraction stick pattern in this record (CuKα).
Intensities are scaled so that the largest is 100.

Most intense lines, 2θ from 10° to 90°, by intensity:
- 2.866 Å, 31.20°, intensity 100
- 2.891 Å, 30.93°, intensity 41
- 2.961 Å, 30.18°, intensity 39
- 2.069 Å, 43.76°, intensity 37
- 2.419 Å, 37.17°, intensity 23
- 1.664 Å, 55.19°, intensity 21
- 1.691 Å, 54.25°, intensity 18
- 3.909 Å, 22.75°, intensity 12
- 3.399 Å, 26.22°, intensity 11
- 1.562 Å, 59.16°, intensity 10

a b c (Å): 12.6227 12.6227 12.6227
angles (deg): 38.28 152.86 153.52
Sites, in units of the cell vectors:
Sr  0.0362  0.1442  0.1804
Sr  0.0362  0.3558  0.3920
Sr  0.9638  0.6442  0.6080
Sr  0.9638  0.8558  0.8196
Y  0.0205  0.0205  0.0000
Y  0.0205  0.5205  0.5000
Y  0.4096  0.7182  0.1915
Y  0.5267  0.2182  0.8085
Mn  0.5168  0.6000  0.0719
Mn  0.5168  0.9450  0.4168
Mn  0.5281  0.1000  0.5832
Mn  0.5281  0.4450  0.9281
O  0.0234  0.3956  0.7600
O  0.0234  0.7634  0.1278
O  0.0304  0.1704  0.7378
O  0.0304  0.7926  0.3600
O  0.1837  0.8401  0.8436
O  0.4326  0.2926  0.2622
O  0.4326  0.6704  0.6400
O  0.5012  0.2257  0.6106
O  0.5012  0.3905  0.7754
O  0.6151  0.7257  0.2246
O  0.6151  0.8905  0.3894
O  0.6355  0.2634  0.2400
O  0.6355  0.8956  0.8722
O  0.9965  0.3401  0.1564

=====

7.
For Ta2MnO6, DFT lattice parameters and positions (PBE+U) gives the calculated X-ray diffraction stick pattern in this record (CuKα).
Intensities are scaled so that the largest is 100.

Most intense lines, 2θ from 10° to 90°, by intensity:
- 3.037 Å, 29.41°, intensity 100
- 3.003 Å, 29.75°, intensity 98
- 3.703 Å, 24.03°, intensity 66
- 2.541 Å, 35.32°, intensity 48
- 1.752 Å, 52.20°, intensity 41
- 2.609 Å, 34.37°, intensity 36
- 1.798 Å, 50.76°, intensity 30
- 1.485 Å, 62.54°, intensity 27
- 1.739 Å, 52.64°, intensity 26
- 2.401 Å, 37.46°, intensity 22

a b c (Å): 7.1459 5.8190 10.8591
angles (deg): 90.00 104.38 90.00
Sites, in units of the cell vectors:
Ta  0.0000  0.1492  0.2500
Ta  0.0000  0.8508  0.7500
Ta  0.1638  0.3370  0.5780
Ta  0.1638  0.6630  0.0780
Ta  0.5000  0.3203  0.2500
Ta  0.5000  0.6797  0.7500
Ta  0.8362  0.3370  0.9220
Ta  0.8362  0.6630  0.4220
Mn  0.3446  0.1768  0.9181
Mn  0.3446  0.8232  0.4181
Mn  0.6554  0.1768  0.5819
Mn  0.6554  0.8232  0.0819
O  0.1194  0.3942  0.9515
O  0.1194  0.6058  0.4515
O  0.1383  0.1333  0.4343
O  0.1383  0.8667  0.9343
O  0.1654  0.1141  0.7147
O  0.1654  0.8859  0.2147
O  0.1990  0.3705  0.2186
O  0.1990  0.6295  0.7186
O  0.4384  0.3976  0.6215
O  0.4384  0.6024  0.1215
O  0.4879  0.1210  0.1144
O  0.4879  0.8790  0.6144
O  0.5121  0.1210  0.3856
O  0.5121  0.8790  0.8856
O  0.5616  0.3976  0.8785
O  0.5616  0.6024  0.3785
O  0.8010  0.3705  0.2814
O  0.8010  0.6295  0.7814
O  0.8346  0.1141  0.7853
O  0.8346  0.8859  0.2853
O  0.8617  0.1333  0.0657
O  0.8617  0.8667  0.5657
O  0.8806  0.3942  0.5485
O  0.8806  0.6058  0.0485

=====

8.
For TaMnO4, DFT lattice parameters and positions (PBE+U) gives the calculated X-ray diffraction stick pattern in this record (CuKα).
Intensities are scaled so that the largest is 100.

Most intense lines, 2θ from 10° to 90°, by intensity:
- 2.998 Å, 29.81°, intensity 100
- 2.912 Å, 30.71°, intensity 89
- 3.649 Å, 24.39°, intensity 67
- 4.715 Å, 18.82°, intensity 56
- 3.789 Å, 23.48°, intensity 52
- 2.500 Å, 35.92°, intensity 46
- 1.779 Å, 51.37°, intensity 33
- 2.514 Å, 35.71°, intensity 29
- 2.191 Å, 41.20°, intensity 26
- 1.732 Å, 52.85°, intensity 25

a b c (Å): 4.7190 5.7629 5.0329
angles (deg): 90.00 92.27 90.00
Sites, in units of the cell vectors:
Ta  0.0000  0.1678  0.2500
Ta  0.0000  0.8322  0.7500
Mn  0.5000  0.3412  0.7500
Mn  0.5000  0.6588  0.2500
O  0.2207  0.1127  0.9287
O  0.2207  0.8873  0.4287
O  0.2714  0.3757  0.4269
O  0.2714  0.6243  0.9269
O  0.7286  0.3757  0.0731
O  0.7286  0.6243  0.5731
O  0.7793  0.1127  0.5713
O  0.7793  0.8873  0.0713

=====

9.
For Ta2MnO6, DFT lattice parameters and positions (PBE+U) gives the calculated X-ray diffraction stick pattern in this record (CuKα).
Intensities are scaled so that the largest is 100.

Most intense lines, 2θ from 10° to 90°, by intensity:
- 3.013 Å, 29.65°, intensity 100
- 3.696 Å, 24.08°, intensity 37
- 1.477 Å, 62.92°, intensity 29
- 1.742 Å, 52.55°, intensity 28
- 2.535 Å, 35.41°, intensity 27
- 4.465 Å, 19.88°, intensity 20
- 2.600 Å, 34.49°, intensity 19
- 1.762 Å, 51.88°, intensity 18
- 1.794 Å, 50.89°, intensity 16
- 1.570 Å, 58.84°, intensity 15

a b c (Å): 4.7938 17.4166 5.2007
angles (deg): 90.00 90.00 90.00
Sites, in units of the cell vectors:
Ta  0.0000  0.0540  0.2500
Ta  0.0000  0.2814  0.7500
Ta  0.0000  0.7186  0.2500
Ta  0.0000  0.9460  0.7500
Ta  0.5000  0.2186  0.2500
Ta  0.5000  0.4460  0.7500
Ta  0.5000  0.5540  0.2500
Ta  0.5000  0.7814  0.7500
Mn  0.0000  0.3928  0.2500
Mn  0.0000  0.6072  0.7500
Mn  0.5000  0.1072  0.7500
Mn  0.5000  0.8928  0.2500
O  0.2146  0.0346  0.5672
O  0.2146  0.9654  0.0672
O  0.2306  0.3716  0.6084
O  0.2306  0.6284  0.1084
O  0.2381  0.2873  0.0729
O  0.2381  0.7127  0.5729
O  0.2619  0.2127  0.5729
O  0.2619  0.7873  0.0729
O  0.2694  0.1284  0.1084
O  0.2694  0.8716  0.6084
O  0.2854  0.4654  0.0672
O  0.2854  0.5346  0.5672
O  0.7146  0.4654  0.4328
O  0.7146  0.5346  0.9328
O  0.7306  0.1284  0.3916
O  0.7306  0.8716  0.8916
O  0.7381  0.2127  0.9271
O  0.7381  0.7873  0.4271
O  0.7619  0.2873  0.4271
O  0.7619  0.7127  0.9271
O  0.7694  0.3716  0.8916
O  0.7694  0.6284  0.3916
O  0.7854  0.0346  0.9328
O  0.7854  0.9654  0.4328